Record 1
Calculated XRD peak list of Rb8MgFe2O8 for Cu Kα, 1.54184 Å, from a DFT-relaxed cell (PBE+U, the Materials Project).

Atomic structure:
Unit cell a=6.664 b=6.791 c=10.321 alpha=78.02 beta=71.74 gamma=63.53
Atoms (fractional coordinates):
Rb: 0.000 0.000 0.000
Rb: 0.015 0.024 0.634
Rb: 0.275 0.453 0.413
Rb: 0.453 0.089 0.958
Rb: 0.524 0.534 0.993
Rb: 0.638 0.468 0.572
Rb: 0.830 0.566 0.200
Rb: 0.853 0.977 0.353
Mg: 0.491 0.904 0.661
Fe: 0.098 0.518 0.778
Fe: 0.350 0.016 0.303
O: 0.049 0.240 0.371
O: 0.274 0.697 0.776
O: 0.325 0.819 0.204
O: 0.328 0.233 0.694
O: 0.470 0.885 0.470
O: 0.564 0.133 0.182
O: 0.817 0.712 0.699
O: 0.994 0.416 0.956

The 10 most intense peaks (15 to 90 degrees two-theta), sorted by position:
two_theta  Rel. int.
26.72  34
27.22  57
27.39  38
28.08  57
29.48  100
29.99  72
30.12  49
31.30  70
32.92  45
35.48  57

Record 2
Calculated XRD peak list of Rb2MgFe2O4 for Cu Kα, 1.54184 Å, from a DFT-relaxed cell (PBE+U, the Materials Project).

Atomic structure:
Unit cell a=6.004 b=5.968 c=5.968 alpha=55.22 beta=90.00 gamma=90.00
Atoms (fractional coordinates):
Rb: 0.000 0.000 0.000
Rb: 0.500 0.305 0.305
Mg: 0.000 0.392 0.392
Fe: 0.000 0.666 0.666
Fe: 0.500 0.639 0.639
O: 0.233 0.514 0.514
O: 0.255 0.774 0.774
O: 0.745 0.774 0.774
O: 0.767 0.514 0.514

The 10 most intense peaks (15 to 90 degrees two-theta), sorted by position:
two_theta  Rel. int.
18.10  24
22.40  55
23.43  68
29.76  39
30.06  68
32.37  74
39.72  24
42.81  100
44.54  26
64.98  27

Record 3
Calculated XRD peak list of Rb6MgFe2O6 for Cu Kα, 1.54184 Å, from a DFT-relaxed cell (PBE+U, the Materials Project).

Atomic structure:
Unit cell a=6.250 b=7.401 c=8.215 alpha=103.04 beta=102.66 gamma=99.67
Atoms (fractional coordinates):
Rb: 0.000 0.000 0.000
Rb: 0.024 0.339 0.354
Rb: 0.268 0.636 0.118
Rb: 0.399 0.974 0.662
Rb: 0.539 0.490 0.700
Rb: 0.823 0.825 0.353
Mg: 0.957 0.294 0.773
Fe: 0.511 0.153 0.330
Fe: 0.545 0.283 0.035
O: 0.233 0.007 0.333
O: 0.264 0.270 0.856
O: 0.494 0.397 0.288
O: 0.604 0.039 0.130
O: 0.743 0.179 0.546
O: 0.819 0.366 0.963

The 10 most intense peaks (15 to 90 degrees two-theta), sorted by position:
two_theta  Rel. int.
23.92  50
24.84  34
25.72  39
27.97  60
29.88  45
30.04  100
32.92  35
33.27  42
33.42  52
34.90  49

Record 4
Calculated XRD peak list of Rb2MgFe4O7 for Cu Kα, 1.54184 Å, from a DFT-relaxed cell (PBE+U, the Materials Project).

Atomic structure:
Unit cell a=5.359 b=5.491 c=7.996 alpha=97.62 beta=95.61 gamma=117.13
Atoms (fractional coordinates):
Rb: 0.000 0.000 0.000
Rb: 0.372 0.695 0.142
Mg: 0.747 0.416 0.306
Fe: 0.182 0.511 0.595
Fe: 0.429 0.114 0.513
Fe: 0.613 0.275 0.822
Fe: 0.831 0.851 0.581
O: 0.088 0.738 0.434
O: 0.245 0.238 0.718
O: 0.450 0.454 0.426
O: 0.541 0.895 0.721
O: 0.662 0.336 0.062
O: 0.793 0.148 0.432
O: 0.923 0.566 0.749

The 10 most intense peaks (15 to 90 degrees two-theta), sorted by position:
two_theta  Rel. int.
22.81  55
26.99  56
29.73  79
31.93  100
32.40  100
32.94  79
33.59  92
34.53  49
36.88  44
60.01  42

Record 5
Calculated XRD peak list of Rb8MgFe2O8 for Cu Kα, 1.54184 Å, from a DFT-relaxed cell (PBE+U, the Materials Project).

Atomic structure:
Unit cell a=6.921 b=7.223 c=9.462 alpha=75.35 beta=80.60 gamma=63.03
Atoms (fractional coordinates):
Rb: 0.195 0.243 0.096
Rb: 0.205 0.467 0.620
Rb: 0.226 0.976 0.848
Rb: 0.278 0.974 0.467
Rb: 0.722 0.026 0.533
Rb: 0.774 0.024 0.152
Rb: 0.795 0.533 0.380
Rb: 0.805 0.757 0.904
Mg: 0.500 0.500 0.000
Fe: 0.282 0.618 0.241
Fe: 0.718 0.382 0.759
O: 0.072 0.790 0.366
O: 0.169 0.641 0.058
O: 0.407 0.319 0.327
O: 0.489 0.307 0.867
O: 0.511 0.693 0.133
O: 0.593 0.681 0.673
O: 0.831 0.359 0.942
O: 0.928 0.210 0.634

The 10 most intense peaks (15 to 90 degrees two-theta), sorted by position:
two_theta  Rel. int.
26.31  29
27.54  31
28.00  55
29.00  69
29.60  19
29.75  100
29.86  93
32.51  43
35.47  28
36.00  41

Record 6
Calculated XRD peak list of RbMg6FeO8 for Cu Kα, 1.54184 Å, from a DFT-relaxed cell (PBE+U, the Materials Project).

Atomic structure:
Unit cell a=4.509 b=4.509 c=8.846 alpha=90.00 beta=90.00 gamma=90.00
Atoms (fractional coordinates):
Rb: 0.000 0.000 0.000
Mg: 0.000 0.500 0.259
Mg: 0.000 0.500 0.741
Mg: 0.500 0.000 0.259
Mg: 0.500 0.000 0.741
Mg: 0.500 0.500 0.000
Mg: 0.500 0.500 0.500
Fe: 0.000 0.000 0.500
O: 0.000 0.000 0.281
O: 0.000 0.000 0.719
O: 0.000 0.500 0.000
O: 0.000 0.500 0.500
O: 0.500 0.000 0.000
O: 0.500 0.000 0.500
O: 0.500 0.500 0.251
O: 0.500 0.500 0.749

The 10 most intense peaks (15 to 90 degrees two-theta), sorted by position:
two_theta  Rel. int.
19.69  30
20.07  16
28.26  27
34.68  46
39.99  100
40.80  44
57.83  30
58.45  54
69.22  16
73.18  25

Record 7
Calculated XRD peak list of RbMg14FeO16 for Cu Kα, 1.54184 Å, from a DFT-relaxed cell (PBE+U, the Materials Project).

Atomic structure:
Unit cell a=4.379 b=8.661 c=8.744 alpha=90.00 beta=90.00 gamma=90.00
Atoms (fractional coordinates):
Rb: 0.000 0.000 0.000
Mg: 0.000 0.000 0.500
Mg: 0.000 0.251 0.257
Mg: 0.000 0.251 0.743
Mg: 0.000 0.500 0.500
Mg: 0.000 0.749 0.257
Mg: 0.000 0.749 0.743
Mg: 0.500 0.000 0.260
Mg: 0.500 0.000 0.740
Mg: 0.500 0.250 0.500
Mg: 0.500 0.255 0.000
Mg: 0.500 0.500 0.254
Mg: 0.500 0.500 0.746
Mg: 0.500 0.745 0.000
Mg: 0.500 0.750 0.500
Fe: 0.000 0.500 0.000
O: 0.000 0.000 0.280
O: 0.000 0.000 0.720
O: 0.000 0.257 0.500
O: 0.000 0.281 0.000
O: 0.000 0.500 0.255
O: 0.000 0.500 0.745
O: 0.000 0.719 0.000
O: 0.000 0.743 0.500
O: 0.500 0.000 0.000
O: 0.500 0.000 0.500
O: 0.500 0.250 0.249
O: 0.500 0.250 0.751
O: 0.500 0.500 0.000
O: 0.500 0.500 0.500
O: 0.500 0.750 0.249
O: 0.500 0.750 0.751

The 10 most intense peaks (15 to 90 degrees two-theta), sorted by position:
two_theta  Rel. int.
20.30  10
29.01  9
30.79  8
35.66  32
41.26  100
41.71  48
59.78  28
60.12  55
71.59  12
75.53  25

Record 8
Calculated XRD peak list of Rb2MgFe4O7 for Cu Kα, 1.54184 Å, from a DFT-relaxed cell (PBE+U, the Materials Project).

Atomic structure:
Unit cell a=5.522 b=5.526 c=7.471 alpha=98.18 beta=90.20 gamma=112.65
Atoms (fractional coordinates):
Rb: 0.000 0.000 0.000
Rb: 0.360 0.648 0.058
Mg: 0.617 0.248 0.771
Fe: 0.022 0.590 0.610
Fe: 0.087 0.074 0.481
Fe: 0.571 0.749 0.516
Fe: 0.668 0.324 0.279
O: 0.330 0.949 0.627
O: 0.345 0.354 0.369
O: 0.596 0.238 0.029
O: 0.695 0.611 0.717
O: 0.736 0.034 0.347
O: 0.940 0.677 0.358
O: 0.984 0.256 0.697

The 10 most intense peaks (15 to 90 degrees two-theta), sorted by position:
two_theta  Rel. int.
24.12  58
28.98  41
29.42  39
29.79  100
30.32  56
32.23  83
32.97  71
33.36  43
35.12  71
54.10  35

Record 9
Calculated XRD peak list of Rb6MgFe2O6 for Cu Kα, 1.54184 Å, from a DFT-relaxed cell (PBE+U, the Materials Project).

Atomic structure:
Unit cell a=7.368 b=7.368 c=6.392 alpha=93.82 beta=93.82 gamma=115.12
Atoms (fractional coordinates):
Rb: 0.000 0.000 0.000
Rb: 0.185 0.185 0.574
Rb: 0.413 0.886 0.246
Rb: 0.451 0.902 0.750
Rb: 0.886 0.413 0.246
Rb: 0.902 0.451 0.750
Mg: 0.501 0.501 0.872
Fe: 0.451 0.451 0.245
Fe: 0.799 0.799 0.449
O: 0.054 0.782 0.520
O: 0.248 0.479 0.012
O: 0.479 0.248 0.012
O: 0.533 0.533 0.557
O: 0.688 0.688 0.116
O: 0.782 0.054 0.520

The 10 most intense peaks (15 to 90 degrees two-theta), sorted by position:
two_theta  Rel. int.
22.68  27
26.88  60
28.71  73
29.92  27
31.69  100
36.23  21
36.90  26
37.10  33
41.41  24
52.79  25

Record 10
Calculated XRD peak list of RbMg6FeO8 for Cu Kα, 1.54184 Å, from a DFT-relaxed cell (PBE+U, the Materials Project).

Atomic structure:
Unit cell a=4.473 b=4.473 c=8.937 alpha=90.00 beta=90.00 gamma=90.00
Atoms (fractional coordinates):
Rb: 0.000 0.000 0.000
Mg: 0.000 0.000 0.500
Mg: 0.000 0.500 0.265
Mg: 0.000 0.500 0.735
Mg: 0.500 0.000 0.265
Mg: 0.500 0.000 0.735
Mg: 0.500 0.500 0.500
Fe: 0.500 0.500 0.000
O: 0.000 0.000 0.281
O: 0.000 0.000 0.719
O: 0.000 0.500 0.000
O: 0.000 0.500 0.500
O: 0.500 0.000 0.000
O: 0.500 0.000 0.500
O: 0.500 0.500 0.249
O: 0.500 0.500 0.751

The 10 most intense peaks (15 to 90 degrees two-theta), sorted by position:
two_theta  Rel. int.
19.87  13
28.22  11
29.98  25
34.75  32
40.34  100
41.64  9
51.07  7
58.37  58
69.75  16
73.34  17

Record 11
Calculated XRD peak list of Rb2MgFe2O4 for Cu Kα, 1.54184 Å, from a DFT-relaxed cell (PBE+U, the Materials Project).

Atomic structure:
Unit cell a=6.838 b=6.838 c=7.568 alpha=101.10 beta=101.10 gamma=28.48
Atoms (fractional coordinates):
Rb: 0.245 0.245 0.232
Rb: 0.755 0.755 0.768
Mg: 0.000 0.000 0.500
Fe: 0.480 0.480 0.824
Fe: 0.520 0.520 0.176
O: 0.392 0.392 0.005
O: 0.418 0.418 0.574
O: 0.582 0.582 0.426
O: 0.608 0.608 0.995

The 10 most intense peaks (15 to 90 degrees two-theta), sorted by position:
two_theta  Rel. int.
23.99  32
25.18  24
27.43  100
30.53  75
32.85  30
34.45  84
40.39  22
47.06  28
47.25  24
55.77  27

Record 12
Calculated XRD peak list of MgFe2S2O10 for Cu Kα, 1.54184 Å, from a DFT-relaxed cell (PBE+U, the Materials Project).

Atomic structure:
Unit cell a=5.204 b=5.549 c=7.134 alpha=67.81 beta=71.31 gamma=89.24
Atoms (fractional coordinates):
Mg: 0.000 0.000 0.000
Fe: 0.000 0.500 0.000
Fe: 0.000 0.500 0.500
S: 0.369 0.102 0.274
S: 0.631 0.898 0.726
O: 0.042 0.376 0.779
O: 0.239 0.197 0.099
O: 0.269 0.236 0.421
O: 0.312 0.816 0.380
O: 0.328 0.829 0.833
O: 0.672 0.171 0.167
O: 0.688 0.184 0.620
O: 0.731 0.764 0.579
O: 0.761 0.803 0.901
O: 0.958 0.624 0.221

The 10 most intense peaks (15 to 90 degrees two-theta), sorted by position:
two_theta  Rel. int.
18.13  43
23.60  33
26.76  100
27.10  43
27.32  29
28.31  80
37.73  18
42.91  23
55.13  14
56.40  23

Q: Number 8 is which compound?
A: Rb2MgFe4O7